For Cs2HoMn3F12, a crystal structure in Alexandria, relaxed with GGA+U gives the simulated X-ray diffraction stick pattern in this record (Cu Kα (weighted mean of Kα1 and Kα2)).

Structure:
```
data_Cs2HoMn3F12
_space_group_name_H-M_alt 'P 1'
_space_group_IT_number 1
_cell_length_a 7.914
_cell_length_b 7.914
_cell_length_c 7.914
_cell_angle_alpha 57.99
_cell_angle_beta 57.99
_cell_angle_gamma 57.99
loop_
_space_group_symop_operation_xyz
'x,y,z'
loop_
_atom_site_label
_atom_site_fract_x
_atom_site_fract_y
_atom_site_fract_z
Cs1 0.116 0.116 0.116
Cs2 0.884 0.884 0.884
Ho1 0.500 0.500 0.500
Mn1 0.000 0.500 0.500
Mn2 0.500 0.000 0.500
Mn3 0.500 0.500 0.000
F1 0.164 0.580 0.580
F2 0.192 0.192 0.574
F3 0.192 0.574 0.192
F4 0.420 0.420 0.836
F5 0.420 0.836 0.420
F6 0.426 0.808 0.808
F7 0.574 0.192 0.192
F8 0.580 0.164 0.580
F9 0.580 0.580 0.164
F10 0.808 0.426 0.808
F11 0.808 0.808 0.426
F12 0.836 0.420 0.420
```

Main lines, in order of rising 2θ (10° ≤ 2θ ≤ 80°):
2θ = 23.19°, I = 51; 2θ = 26.32°, I = 75; 2θ = 26.93°, I = 100; 2θ = 27.22°, I = 27; 2θ = 28.36°, I = 38; 2θ = 42.72°, I = 24; 2θ = 43.11°, I = 33; 2θ = 45.91°, I = 33; 2θ = 47.40°, I = 37; 2θ = 55.03°, I = 21